# Li2Pr3Al
Computed X-ray diffraction stick pattern, a wavelength of 1.5418 Å. Input: a DFT-relaxed cell (PBE, Alexandria).
Intensities are scaled so that the largest is 100.

Crystal structure
abc: 5.3742 5.3742 13.1893
angles: 90.00 90.00 120.00
Space group P-3m1 (No. 164)
Unique sites:
Li 0.0000 0.0000 0.0000
Li 0.0000 0.0000 0.5000
Li 0.3333 0.6667 0.1715
Pr 0.0000 0.0000 0.2548
Pr 0.3333 0.6667 0.4188
Pr 0.3333 0.6667 0.9129
Al 0.3333 0.6667 0.6667

The 10 most intense peaks (2θ = 10–90°), low angle first:
- 2θ 23.39, I 86, (0 1 2)
- 2θ 33.32, I 100, (1 1 0)
- 2θ 41.12, I 26, (2 0 2)
- 2θ 47.84, I 18, (0 2 4)
- 2θ 53.92, I 36, (1 2 2)
- 2θ 59.54, I 28, (2 1 4)
- 2θ 59.59, I 9, (3 0 0)
- 2θ 74.89, I 10, (3 0 6)
- 2θ 79.75, I 16, (1 3 4)
- 2θ 84.49, I 7, (2 2 6)



# LiPuAl2Pt4
Computed X-ray diffraction stick pattern, a wavelength of 1.5418 Å. Input: a DFT-relaxed cell (PBE, Alexandria).
Intensities are scaled so that the largest is 100.

Crystal structure
abc: 4.2527 4.2527 25.4643
angles: 90.00 90.00 120.00
Space group R-3m (No. 166, hexagonal axes)
Unique sites:
Li 0.0000 0.0000 0.0000
Pu 0.0000 0.0000 0.5000
Al 0.0000 0.0000 0.2642
Pt 0.0000 0.0000 0.0987
Pt 0.0000 0.0000 0.3679

The 10 most intense peaks (2θ = 10–90°), low angle first:
- 2θ 25.17, I 26, (0 1 2)
- 2θ 27.99, I 41, (1 0 4)
- 2θ 29.94, I 42, (0 1 5)
- 2θ 34.66, I 71, (1 0 7)
- 2θ 37.34, I 68, (0 1 8)
- 2θ 42.51, I 100, (1 1 0)
- 2θ 55.97, I 19, (0 2 7)
- 2θ 57.85, I 20, (2 0 8)
- 2θ 71.05, I 35, (1 1 15)
- 2θ 74.38, I 19, (1 2 8)



# LiPu3Al8
Computed X-ray diffraction stick pattern, a wavelength of 1.5418 Å. Input: a DFT-relaxed cell (PBE, Alexandria).
Intensities are scaled so that the largest is 100.

Crystal structure
abc: 5.4966 5.4966 26.8813
angles: 90.00 90.00 120.00
Space group R3m (No. 160, hexagonal axes)
Unique sites:
Li 0.0000 0.0000 0.0000
Pu 0.0000 0.0000 0.3756
Pu 0.0000 0.0000 0.4984
Pu 0.0000 0.0000 0.8750
Al 0.0000 0.0000 0.1872
Al 0.0000 0.0000 0.6879
Al 0.0011 0.5006 0.9376
Al 0.0016 0.5008 0.4367

The 10 most intense peaks (2θ = 10–90°), low angle first:
- 2θ 18.93, I 19, (1 0 1)
- 2θ 19.79, I 76, (0 1 2)
- 2θ 22.89, I 12, (1 0 4)
- 2θ 32.60, I 98, (1 1 0)
- 2θ 38.43, I 100, (1 0 10)
- 2θ 51.26, I 21, (0 2 10)
- 2θ 58.17, I 39, (3 0 0)
- 2θ 62.07, I 31, (2 1 10)
- 2θ 68.30, I 20, (2 2 0)
- 2θ 77.75, I 17, (3 1 8)



# Li4Pu3AlS8
Computed X-ray diffraction stick pattern, a wavelength of 1.5418 Å. Input: a DFT-relaxed cell (PBE, Alexandria).
Intensities are scaled so that the largest is 100.

Crystal structure
abc: 7.7511 7.7511 18.2327
angles: 90.00 90.00 120.00
Space group R-3m (No. 166, hexagonal axes)
Unique sites:
Li 0.0000 0.0000 0.0000
Li 0.0000 0.5000 0.0000
Pu 0.0000 0.5000 0.5000
Al 0.0000 0.0000 0.5000
S 0.0000 0.0000 0.2508
S 0.0269 0.5134 0.2468

The 10 most intense peaks (2θ = 10–90°), low angle first:
- 2θ 14.06, I 19, (1 0 1)
- 2θ 14.57, I 100, (0 0 3)
- 2θ 27.01, I 69, (0 2 1)
- 2θ 28.34, I 28, (2 0 2)
- 2θ 33.15, I 85, (0 2 4)
- 2θ 36.38, I 31, (2 0 5)
- 2θ 44.00, I 21, (0 2 7)
- 2θ 46.89, I 31, (2 2 0)
- 2θ 48.27, I 29, (2 0 8)
- 2θ 49.36, I 29, (2 2 3)



# RbLiAl
Computed X-ray diffraction stick pattern, a wavelength of 1.5418 Å. Input: a DFT-relaxed cell (PBE, Alexandria).
Intensities are scaled so that the largest is 100.

Crystal structure
abc: 7.934 4.584 12.730
angles: 90.00 100.70 90.00
Space group Cm (No. 8)
Unique sites:
Rb 0.000 0.000 0.000
Rb 0.026 0.500 0.643
Li 0.090 0.000 0.302
Li 0.291 0.500 0.416
Al 0.228 0.500 0.207
Al 0.411 0.000 0.258

The 10 most intense peaks (2θ = 10–90°), low angle first:
- 2θ 14.16, I 59, (0 0 2)
- 2θ 21.31, I 89, (0 0 3)
- 2θ 22.81, I 58, (2 0 0)
- 2θ 22.96, I 100, (1 1 -1)
- 2θ 24.25, I 93, (1 1 1)
- 2θ 25.51, I 74, (1 1 -2)
- 2θ 27.82, I 93, (1 1 2)
- 2θ 28.29, I 55, (2 0 -3)
- 2θ 34.87, I 54, (1 1 -4)
- 2θ 39.33, I 98, (0 2 0)



# RbLiAl
Computed X-ray diffraction stick pattern, a wavelength of 1.5418 Å. Input: a DFT-relaxed cell (PBE, Alexandria).
Intensities are scaled so that the largest is 100.

Crystal structure
abc: 4.534 4.535 12.382
angles: 90.19 90.37 119.98
Space group P-1 (No. 2)
Unique sites:
Rb 0.155 0.324 0.177
Li 0.497 0.997 0.395
Al 0.167 0.334 0.512

The 10 most intense peaks (2θ = 10–90°), low angle first:
- 2θ 21.53, I 86, (0 0 3)
- 2θ 22.64, I 51, (1 0 0)
- 2θ 23.74, I 100, (1 -1 1)
- 2θ 23.82, I 45, (0 1 1)
- 2θ 26.82, I 56, (-1 1 2)
- 2θ 26.97, I 47, (1 0 2)
- 2θ 31.30, I 21, (1 0 -3)
- 2θ 39.75, I 59, (1 -2 0)
- 2θ 45.49, I 22, (-2 1 3)
- 2θ 45.75, I 22, (2 -1 3)



# Li2Al6Re
Computed X-ray diffraction stick pattern, a wavelength of 1.5418 Å. Input: a DFT-relaxed cell (PBE, Alexandria).
Intensities are scaled so that the largest is 100.

Crystal structure
abc: 9.538 5.511 6.201
angles: 90.00 90.38 90.00
Space group C2/m (No. 12)
Unique sites:
Li 0.166 0.000 0.421
Al 0.085 0.246 0.812
Al 0.169 0.500 0.190
Re 0.000 0.500 0.500

The 10 most intense peaks (2θ = 10–90°), low angle first:
- 2θ 14.28, I 23, (0 0 1)
- 2θ 18.60, I 100, (1 1 0)
- 2θ 23.47, I 36, (2 0 -1)
- 2θ 23.57, I 49, (1 1 1)
- 2θ 34.44, I 17, (1 1 -2)
- 2θ 35.62, I 29, (0 2 1)
- 2θ 40.56, I 27, (2 2 1)
- 2θ 43.82, I 19, (0 0 3)
- 2θ 48.03, I 21, (2 2 -2)
- 2θ 50.62, I 16, (4 2 0)



# LiAl3Rh
Computed X-ray diffraction stick pattern, a wavelength of 1.5418 Å. Input: a DFT-relaxed cell (PBE, Alexandria).
Intensities are scaled so that the largest is 100.

Crystal structure
abc: 4.376 4.375 7.722
angles: 90.00 106.34 90.00
Space group P2_1 (No. 4)
Unique sites:
Li 0.155 0.000 0.310
Al 0.059 0.500 0.116
Al 0.250 0.499 0.500
Al 0.445 0.499 0.888
Rh 0.353 0.999 0.707

The 10 most intense peaks (2θ = 10–90°), low angle first:
- 2θ 21.17, I 33, (1 0 -1)
- 2θ 23.61, I 64, (0 1 1)
- 2θ 27.22, I 39, (1 0 -2)
- 2θ 29.49, I 13, (1 1 0)
- 2θ 41.26, I 55, (0 2 0)
- 2θ 42.22, I 100, (1 1 2)
- 2θ 48.08, I 18, (2 1 0)
- 2θ 50.14, I 14, (1 2 -2)
- 2θ 59.77, I 18, (2 2 -1)
- 2θ 75.91, I 26, (1 3 2)